Simulated X-ray powder pattern of ZnBP2H4NO8 for CuKα, from a crystal structure in OQMD, relaxed with PBE.
Lines closer than 0.1° are merged.

Top 10 peaks for 10 to 90 degrees two-theta, most intense first:
5.738 Å, rel. 1000, hkl 1 0 1
3.539 Å, rel. 431, hkl 2 1 1
2.909 Å, rel. 274, hkl -1 2 1
3.020 Å, rel. 256, hkl 1 1 -1
3.633 Å, rel. 226, hkl 1 -1 1
6.255 Å, rel. 217, hkl 0 0 1
2.304 Å, rel. 190, hkl 2 -2 0
3.034 Å, rel. 184, hkl 0 2 2
3.482 Å, rel. 183, hkl 0 1 2
3.128 Å, rel. 182, hkl 0 0 2

Atomic structure:
```
ZnBP2H4NO8
1.0
7.334 0.000 0.000
1.753 7.356 0.000
3.343 3.070 6.255
Zn B P H N O
2 2 4 8 2 16
Cartesian
3.007 4.056 1.574 Zn
9.424 6.370 4.681 Zn
7.075 10.133 5.725 B
5.355 0.293 0.530 B
2.930 3.385 4.519 P
6.896 5.062 5.653 P
5.534 5.364 0.602 P
9.500 7.041 1.737 P
4.300 7.522 3.448 H
5.298 6.800 4.637 H
5.729 8.266 3.984 H
5.796 6.875 3.008 H
6.634 3.551 3.248 H
6.701 2.160 2.271 H
7.133 3.626 1.618 H
8.130 2.904 2.807 H
5.284 7.358 3.762 N
7.146 3.068 2.494 N
3.308 4.839 4.709 O
2.508 2.955 3.113 O
3.347 7.498 0.812 O
4.177 2.477 4.859 O
2.574 2.992 0.010 O
4.796 4.784 1.808 O
6.130 3.824 5.082 O
7.872 8.883 5.737 O
4.559 1.543 0.518 O
6.300 6.602 1.173 O
7.634 5.642 4.447 O
9.857 7.434 6.246 O
8.253 7.949 1.396 O
9.083 2.928 5.443 O
9.922 7.471 3.143 O
9.122 5.587 1.547 O
```